[1]
Structure and computed PXRD pattern of NaEuSbWO6 (a structure optimized by DFT (GGA+U); CuKα).
Intensities are scaled so that the largest is 100.

Structural model:
a b c (Å): 8.395 8.395 8.395
angles (deg): 90.00 90.00 90.00
Space group F-43m (No. 216)
Unique sites:
Na1 0.000 0.000 0.000 [4 per cell]
Eu1 0.000 0.000 0.500 [4 per cell]
Sb1 0.250 0.250 0.750 [4 per cell]
W1 0.250 0.250 0.250 [4 per cell]
O1 0.017 0.250 0.250 [24 per cell]

Top 10 peaks for 2θ from 15° to 90°, in order of falling intensity:
two_theta  d (Å)  I_rel  index
30.11  2.968  100  2 2 0
53.47  1.714  40  4 2 2
43.10  2.099  31  4 0 0
18.31  4.847  23  1 1 1
86.82  1.122  22  6 4 2
62.60  1.484  19  4 4 0
71.02  1.327  18  6 2 0
21.17  4.197  16  2 0 0
35.47  2.531  13  3 1 1
48.50  1.877  6  4 2 0

---

[2]
Structure and computed PXRD pattern of Mn2Cr3Sb3O16 (a structure optimized by DFT (GGA+U); CuKα).
Intensities are scaled so that the largest is 100.

Structural model:
a b c (Å): 10.555 6.124 8.939
angles (deg): 90.00 90.48 90.00
Space group Cm (No. 8)
Unique sites:
Mn1 0.000 0.000 0.000 [2 per cell]
Mn2 0.169 0.500 0.483 [2 per cell]
Cr1 0.157 0.000 0.716 [2 per cell]
Cr2 0.241 0.254 0.213 [4 per cell]
Sb1 0.409 0.252 0.715 [4 per cell]
Sb2 0.493 0.000 0.210 [2 per cell]
O1 0.063 0.212 0.847 [4 per cell]
O2 0.091 0.290 0.352 [4 per cell]
O3 0.156 0.500 0.102 [2 per cell]
O4 0.157 0.000 0.101 [2 per cell]
O5 0.244 0.253 0.607 [4 per cell]
O6 0.302 0.500 0.346 [2 per cell]
O7 0.327 0.000 0.826 [2 per cell]
O8 0.329 0.000 0.315 [2 per cell]
O9 0.349 0.500 0.852 [2 per cell]
O10 0.415 0.259 0.104 [4 per cell]
O11 0.491 0.500 0.597 [2 per cell]
O12 0.496 0.000 0.608 [2 per cell]

Top 10 peaks for 2θ from 15° to 90°, in order of falling intensity:
two_theta  d (Å)  I_rel  index
19.47  4.560  100  2 0 -1
19.87  4.469  84  0 0 2
35.35  2.539  71  2 2 1
35.53  2.526  44  4 0 1
45.74  1.984  36  4 0 -3
26.20  3.402  26  2 0 2
60.72  1.525  26  6 2 0
16.79  5.281  21  2 0 0
39.48  2.282  21  2 2 -2
26.02  3.424  21  2 0 -2

---

[3]
Structure and computed PXRD pattern of ZnCoO3 (a structure optimized by DFT (GGA+U); CuKα).
Intensities are scaled so that the largest is 100.

Structural model:
a b c (Å): 5.033 7.287 4.978
angles (deg): 90.00 90.00 90.00
Space group Pnma (No. 62)
Unique sites:
Zn1 0.051 0.250 0.006 [4 per cell]
Co1 0.000 0.000 0.500 [4 per cell]
O1 0.057 0.750 0.381 [4 per cell]
O2 0.188 0.564 0.813 [8 per cell]

Top 10 peaks for 2θ from 15° to 90°, in order of falling intensity:
two_theta  d (Å)  I_rel  index
35.36  2.539  100  1 2 1
64.42  1.446  24  1 2 3
36.09  2.489  22  0 0 2
51.65  1.770  22  2 0 2
35.68  2.516  22  2 0 0
50.07  1.822  15  0 4 0
63.89  1.457  13  3 2 1
63.26  1.470  11  0 4 2
62.99  1.476  11  2 4 0
74.80  1.269  11  2 4 2

---

[4]
Structure and computed PXRD pattern of Cs2CoO3 (a structure optimized by DFT (GGA+U); CuKα).
Intensities are scaled so that the largest is 100.

Structural model:
a b c (Å): 6.107 12.793 13.997
angles (deg): 90.00 90.00 90.00
Space group Cmce (No. 64)
Unique sites:
Cs1 0.000 0.057 0.140 [8 per cell]
Cs2 0.000 0.140 0.577 [8 per cell]
Co1 0.000 0.238 0.324 [8 per cell]
O1 0.000 0.105 0.358 [8 per cell]
O2 0.000 0.178 0.925 [8 per cell]
O3 0.250 0.233 0.750 [8 per cell]

Top 10 peaks for 2θ from 15° to 90°, in order of falling intensity:
two_theta  d (Å)  I_rel  index
28.55  3.126  100  1 3 2
29.25  3.053  56  2 0 0
26.27  3.392  47  1 3 1
25.01  3.561  28  1 1 3
30.25  2.954  28  1 1 4
25.45  3.499  25  0 0 4
34.99  2.565  25  0 2 5
39.15  2.301  21  2 0 4
46.23  1.964  20  2 2 5
52.73  1.736  19  1 7 1

---

[5]
Structure and computed PXRD pattern of Ti5Fe11O24 (a structure optimized by DFT (GGA+U); CuKα).
Intensities are scaled so that the largest is 100.

Structural model:
a b c (Å): 7.510 7.571 8.896
angles (deg): 66.97 66.91 85.62
Space group P1 (No. 1)
Unique sites:
Ti1 0.000 0.000 0.000 [1 per cell]
Ti2 0.005 0.501 0.997 [1 per cell]
Ti3 0.253 0.251 0.512 [1 per cell]
Ti4 0.505 0.006 0.988 [1 per cell]
Ti5 0.744 0.758 0.515 [1 per cell]
Fe1 0.062 0.567 0.293 [1 per cell]
Fe2 0.063 0.068 0.299 [1 per cell]
Fe3 0.249 0.758 0.502 [1 per cell]
Fe4 0.300 0.810 0.804 [1 per cell]
Fe5 0.319 0.328 0.794 [1 per cell]
Fe6 0.501 0.505 0.003 [1 per cell]
Fe7 0.563 0.068 0.292 [1 per cell]
Fe8 0.563 0.564 0.296 [1 per cell]
Fe9 0.748 0.253 0.506 [1 per cell]
Fe10 0.801 0.807 0.803 [1 per cell]
Fe11 0.812 0.324 0.788 [1 per cell]
O1 0.064 0.242 0.060 [1 per cell]
O2 0.068 0.260 0.403 [1 per cell]
O3 0.091 0.227 0.743 [1 per cell]
O4 0.214 0.599 0.747 [1 per cell]
O5 0.231 0.578 0.052 [1 per cell]
O6 0.251 0.563 0.402 [1 per cell]
O7 0.307 0.002 0.914 [1 per cell]
O8 0.326 0.000 0.544 [1 per cell]
O9 0.336 0.987 0.240 [1 per cell]
O10 0.479 0.339 0.536 [1 per cell]
O11 0.483 0.337 0.244 [1 per cell]
O12 0.503 0.303 0.917 [1 per cell]
O13 0.560 0.755 0.407 [1 per cell]
O14 0.568 0.741 0.059 [1 per cell]
O15 0.580 0.725 0.743 [1 per cell]
O16 0.716 0.077 0.761 [1 per cell]
O17 0.743 0.071 0.059 [1 per cell]
O18 0.754 0.049 0.399 [1 per cell]
O19 0.811 0.510 0.912 [1 per cell]
O20 0.832 0.513 0.535 [1 per cell]
O21 0.841 0.498 0.227 [1 per cell]
O22 0.983 0.839 0.540 [1 per cell]
O23 0.988 0.842 0.231 [1 per cell]
O24 0.998 0.823 0.909 [1 per cell]

Top 10 peaks for 2θ from 15° to 90°, in order of falling intensity:
two_theta  d (Å)  I_rel  index
34.98  2.565  100  2 -2 0
32.58  2.748  88  2 2 2
32.40  2.763  45  0 2 -1
48.38  1.881  35  0 4 2
23.65  3.762  30  0 0 2
62.70  1.482  30  -2 4 3
53.21  1.721  25  4 2 3
52.85  1.732  23  0 2 -3
61.06  1.518  22  2 -4 1
48.75  1.868  17  4 0 2

---

[6]
Structure and computed PXRD pattern of Ni2S3O12 (a structure optimized by DFT (GGA+U); CuKα).
Intensities are scaled so that the largest is 100.

Structural model:
a b c (Å): 8.3079 8.3079 22.6202
angles (deg): 90.00 90.00 120.00
Space group R-3 (No. 148, hexagonal axes)
Unique sites:
Ni1 0.0000 0.0000 0.1431 [6 per cell]
Ni2 0.0000 0.0000 0.3476 [6 per cell]
S1 0.0033 0.7096 0.2507 [18 per cell]
O1 0.0105 0.7989 0.1940 [18 per cell]
O2 0.0440 0.2161 0.0872 [18 per cell]
O3 0.0820 0.2300 0.7023 [18 per cell]
O4 0.0924 0.2304 0.3999 [18 per cell]

Top 10 peaks for 2θ from 15° to 90°, in order of falling intensity:
two_theta  d (Å)  I_rel  index
24.47  3.638  100  2 -1 3
32.06  2.792  61  1 1 6
19.97  4.446  60  1 0 4
29.43  3.035  45  0 2 4
37.49  2.399  21  3 0 0
52.63  1.739  19  2 1 10
21.39  4.154  19  1 1 0
36.67  2.451  15  2 1 4
50.15  1.819  15  2 2 6
58.81  1.570  12  1 4 0

---

[7]
Structure and computed PXRD pattern of Sr2CdWO6 (a structure optimized by DFT (GGA+U); CuKα).
Intensities are scaled so that the largest is 100.

Structural model:
a b c (Å): 5.894 8.349 5.953
angles (deg): 90.00 90.00 90.00
Space group Pmm2 (No. 25)
Unique sites:
Sr1 0.000 0.246 0.000 [2 per cell]
Sr2 0.500 0.251 0.525 [2 per cell]
Cd1 0.000 0.000 0.518 [1 per cell]
Cd2 0.500 0.500 0.044 [1 per cell]
W1 0.000 0.500 0.548 [1 per cell]
W2 0.500 0.000 0.025 [1 per cell]
O1 0.000 0.267 0.557 [2 per cell]
O2 0.223 0.500 0.792 [2 per cell]
O3 0.245 0.500 0.332 [2 per cell]
O4 0.265 0.000 0.253 [2 per cell]
O5 0.269 0.000 0.791 [2 per cell]
O6 0.500 0.232 0.030 [2 per cell]

Top 10 peaks for 2θ from 15° to 90°, in order of falling intensity:
two_theta  d (Å)  I_rel  index
30.23  2.957  100  1 2 1
53.82  1.703  30  2 4 0
43.20  2.094  30  2 0 2
30.33  2.947  25  2 0 0
30.02  2.976  25  0 0 2
21.24  4.184  23  1 0 1
53.44  1.715  19  1 2 3
62.86  1.478  18  2 4 2
43.35  2.087  15  0 4 0
71.44  1.321  13  1 6 1

---

[8]
Structure and computed PXRD pattern of MgFe6O8F4 (a structure optimized by DFT (GGA+U); CuKα).
Intensities are scaled so that the largest is 100.

Structural model:
a b c (Å): 4.835 4.859 8.892
angles (deg): 90.11 90.13 92.01
Space group P1 (No. 1)
Unique sites:
Mg1 0.000 0.000 0.000 [1 per cell]
Fe1 0.012 0.458 0.206 [1 per cell]
Fe2 0.461 0.981 0.692 [1 per cell]
Fe3 0.474 0.016 0.356 [1 per cell]
Fe4 0.510 0.066 0.005 [1 per cell]
Fe5 0.940 0.573 0.511 [1 per cell]
Fe6 0.993 0.507 0.841 [1 per cell]
O1 0.171 0.689 0.685 [1 per cell]
O2 0.183 0.704 0.346 [1 per cell]
O3 0.266 0.180 0.851 [1 per cell]
O4 0.276 0.164 0.167 [1 per cell]
O5 0.655 0.836 0.526 [1 per cell]
O6 0.699 0.853 0.857 [1 per cell]
O7 0.765 0.321 0.353 [1 per cell]
O8 0.804 0.350 0.013 [1 per cell]
F1 0.221 0.682 0.010 [1 per cell]
F2 0.266 0.184 0.525 [1 per cell]
F3 0.725 0.862 0.163 [1 per cell]
F4 0.761 0.328 0.684 [1 per cell]

Top 10 peaks for 2θ from 15° to 90°, in order of falling intensity:
two_theta  d (Å)  I_rel  index
25.54  3.487  100  1 -1 0
26.47  3.367  91  1 1 0
35.49  2.529  76  1 0 -3
51.84  1.764  37  -2 1 3
52.81  1.733  30  2 1 -3
35.57  2.524  24  1 0 3
52.95  1.729  21  2 1 3
51.74  1.767  21  -1 2 3
54.51  1.683  17  2 2 0
52.48  1.744  16  2 -2 0